1.
The following is a computed X-ray powder pattern of DyInNi. It was derived from a GGA-PBE-relaxed structure, using Cu Kα X-rays.
Lines closer than 0.1° are merged.

Principal peaks in the range 2θ from 10° to 90°, by intensity:
33.88°, rel. 100, hkl 1 1 1
36.66°, rel. 71, hkl 2 0 1
36.53°, rel. 54, hkl 2 1 0
56.65°, rel. 26, hkl 3 1 1
67.59°, rel. 25, hkl 3 2 1
41.63°, rel. 25, hkl 3 0 0
62.54°, rel. 22, hkl 2 1 2
48.88°, rel. 18, hkl 0 0 2

```
DyInNi
1.0
7.515 0.000 0.000
-3.758 6.509 0.000
0.000 0.000 3.726
Dy In Ni
3 3 3
Direct
0.000 0.591 0.000
0.409 0.409 0.000
0.591 0.000 0.000
0.000 0.256 0.500
0.256 0.000 0.500
0.744 0.744 0.500
0.000 0.000 0.000
0.333 0.667 0.500
0.667 0.333 0.500
```

---

2.
The following is a computed X-ray powder pattern of Dy2InNi2. It was derived from a GGA-PBE-relaxed structure, using Cu Kα X-rays.
Lines closer than 0.1° are merged.

Principal peaks in the range 2θ from 10° to 90°, by intensity:
36.82°, rel. 100, hkl 2 1 1
34.68°, rel. 54, hkl 2 0 1
38.57°, rel. 45, hkl 3 1 0
27.01°, rel. 22, hkl 2 1 0
65.15°, rel. 18, hkl 3 1 2
58.87°, rel. 18, hkl 3 3 1
57.40°, rel. 17, hkl 4 1 1
50.33°, rel. 16, hkl 0 0 2

```
Dy2InNi2
1.0
7.381 0.000 0.000
0.000 7.381 0.000
0.000 0.000 3.626
Dy In Ni
4 2 4
Direct
0.174 0.326 0.000
0.326 0.826 0.000
0.674 0.174 0.000
0.826 0.674 0.000
0.000 0.000 0.500
0.500 0.500 0.500
0.120 0.620 0.500
0.380 0.120 0.500
0.620 0.880 0.500
0.880 0.380 0.500
```

---

Repeat the second record exactly.
The following is a computed X-ray powder pattern of Dy2InNi2. It was derived from a GGA-PBE-relaxed structure, using Cu Kα X-rays.
Lines closer than 0.1° are merged.

Principal peaks in the range 2θ from 10° to 90°, by intensity:
36.82°, rel. 100, hkl 2 1 1
34.68°, rel. 54, hkl 2 0 1
38.57°, rel. 45, hkl 3 1 0
27.01°, rel. 22, hkl 2 1 0
65.15°, rel. 18, hkl 3 1 2
58.87°, rel. 18, hkl 3 3 1
57.40°, rel. 17, hkl 4 1 1
50.33°, rel. 16, hkl 0 0 2

```
Dy2InNi2
1.0
7.381 0.000 0.000
0.000 7.381 0.000
0.000 0.000 3.626
Dy In Ni
4 2 4
Direct
0.174 0.326 0.000
0.326 0.826 0.000
0.674 0.174 0.000
0.826 0.674 0.000
0.000 0.000 0.500
0.500 0.500 0.500
0.120 0.620 0.500
0.380 0.120 0.500
0.620 0.880 0.500
0.880 0.380 0.500
```

---

Question: Number 1 is which compound?
Answer: DyInNi

---

Copy entry 2 word for word.
The following is a computed X-ray powder pattern of Dy2InNi2. It was derived from a GGA-PBE-relaxed structure, using Cu Kα X-rays.
Lines closer than 0.1° are merged.

Principal peaks in the range 2θ from 10° to 90°, by intensity:
36.82°, rel. 100, hkl 2 1 1
34.68°, rel. 54, hkl 2 0 1
38.57°, rel. 45, hkl 3 1 0
27.01°, rel. 22, hkl 2 1 0
65.15°, rel. 18, hkl 3 1 2
58.87°, rel. 18, hkl 3 3 1
57.40°, rel. 17, hkl 4 1 1
50.33°, rel. 16, hkl 0 0 2

```
Dy2InNi2
1.0
7.381 0.000 0.000
0.000 7.381 0.000
0.000 0.000 3.626
Dy In Ni
4 2 4
Direct
0.174 0.326 0.000
0.326 0.826 0.000
0.674 0.174 0.000
0.826 0.674 0.000
0.000 0.000 0.500
0.500 0.500 0.500
0.120 0.620 0.500
0.380 0.120 0.500
0.620 0.880 0.500
0.880 0.380 0.500
```